1.
The following is a calculated XRD peak list of Lu2ZnIn. It was derived from a crystal structure in the Materials Project, relaxed with GGA-PBE, using Cu Kα.

Most intense lines, 10 to 80 degrees two-theta, by angle:
4.163 Å, I = 2, (1 1 1); 3.605 Å, I = 11, (2 0 0); 2.549 Å, I = 100, (2 2 0); 2.174 Å, I = 1, (3 1 1); 2.081 Å, I = 3, (2 2 2); 1.802 Å, I = 18, (4 0 0); 1.612 Å, I = 5, (4 2 0); 1.472 Å, I = 36, (4 2 2); 1.275 Å, I = 11, (4 4 0); 1.202 Å, I = 2, (6 0 0)

Structure:
abc: 7.210 7.210 7.210
angles: 90.00 90.00 90.00
Space group Fm-3m (No. 225)
Symmetry-distinct sites (fractional):
Lu1 0.250 0.250 0.250 (multiplicity 8)
Zn1 0.000 0.000 0.000 (multiplicity 4)
In1 0.000 0.000 0.500 (multiplicity 4)

---

2.
The following is a calculated XRD peak list of KSr3. It was derived from a crystal structure in the Materials Project, relaxed with GGA-PBE, using Cu Kα.

Most intense lines, 10 to 80 degrees two-theta, by angle:
5.653 Å, I = 5, (1 1 1); 4.895 Å, I = 3, (2 0 0); 3.462 Å, I = 100, (2 2 0); 2.952 Å, I = 3, (3 1 1); 2.448 Å, I = 19, (4 0 0); 1.999 Å, I = 42, (4 2 2); 1.731 Å, I = 13, (4 4 0); 1.548 Å, I = 18, (6 2 0); 1.413 Å, I = 4, (4 4 4); 1.308 Å, I = 20, (6 4 2)

Structure:
abc: 9.791 9.791 9.791
angles: 90.00 90.00 90.00
Space group Fm-3m (No. 225)
Symmetry-distinct sites (fractional):
K1 0.000 0.000 0.000 (multiplicity 4)
Sr1 0.000 0.000 0.500 (multiplicity 4)
Sr2 0.250 0.250 0.250 (multiplicity 8)